Starting from a cell relaxed with PBE, the XRD peak list of Dy3CoAg was computed for Cu Kα (λ = 1.5418 Å).
Lines closer than 0.1° are merged.

Atomic structure:
Unit cell a=5.1389 b=5.1389 c=5.1389 alpha=90.00 beta=90.00 gamma=90.00
Atoms (fractional coordinates):
Dy (0.0000, 0.0000, 0.5000)
Dy (0.0000, 0.5000, 0.0000)
Dy (0.5000, 0.0000, 0.0000)
Co (0.0000, 0.0000, 0.0000)
Ag (0.5000, 0.5000, 0.5000)

Most intense lines, 2θ from 15° to 90°, by angle:
17.3 deg, d = 5.139 Å, intensity 12; 30.1 deg, d = 2.967 Å, intensity 100; 34.9 deg, d = 2.569 Å, intensity 77; 39.2 deg, d = 2.298 Å, intensity 6; 50.2 deg, d = 1.817 Å, intensity 55; 53.5 deg, d = 1.713 Å, intensity 3; 59.7 deg, d = 1.549 Å, intensity 43; 62.6 deg, d = 1.483 Å, intensity 19; 73.7 deg, d = 1.285 Å, intensity 9; 76.4 deg, d = 1.246 Å, intensity 2; 81.7 deg, d = 1.179 Å, intensity 18; 84.3 deg, d = 1.149 Å, intensity 24

=====

Starting from a cell relaxed with PBE, the XRD peak list of Pm7DyHo3 was computed for Cu Kα (λ = 1.5418 Å).
Lines closer than 0.1° are merged.

Atomic structure:
Unit cell a=10.2213 b=10.2213 c=12.5173 alpha=114.25 beta=114.25 gamma=41.16
Atoms (fractional coordinates):
Pm (0.0797, 0.5852, 0.9719)
Pm (0.0808, 0.5828, 0.4706)
Pm (0.2239, 0.7761, 0.7500)
Pm (0.3352, 0.3449, 0.2257)
Pm (0.3449, 0.3352, 0.7257)
Pm (0.4148, 0.9203, 0.5281)
Pm (0.4172, 0.9192, 0.0294)
Pm (0.5828, 0.0808, 0.9706)
Pm (0.5852, 0.0797, 0.4719)
Pm (0.6551, 0.6648, 0.2743)
Pm (0.6648, 0.6551, 0.7743)
Pm (0.7761, 0.2239, 0.2500)
Pm (0.9192, 0.4172, 0.5294)
Pm (0.9203, 0.4148, 0.0281)
Dy (0.0000, 0.0000, 0.0000)
Dy (0.0000, 0.0000, 0.5000)
Ho (0.1677, 0.1710, 0.2750)
Ho (0.1710, 0.1677, 0.7750)
Ho (0.5000, 0.5000, 0.0000)
Ho (0.5000, 0.5000, 0.5000)
Ho (0.8290, 0.8323, 0.2250)
Ho (0.8323, 0.8290, 0.7250)

Most intense lines, 2θ from 15° to 90°, by angle:
28.9 deg, d = 3.094 Å, intensity 21; 29.5 deg, d = 3.028 Å, intensity 19; 31.2 deg, d = 2.866 Å, intensity 52; 31.9 deg, d = 2.809 Å, intensity 100; 33.4 deg, d = 2.679 Å, intensity 30; 33.6 deg, d = 2.666 Å, intensity 56; 50.6 deg, d = 1.804 Å, intensity 26; 50.8 deg, d = 1.797 Å, intensity 13; 54.8 deg, d = 1.675 Å, intensity 14; 60.6 deg, d = 1.529 Å, intensity 15; 60.7 deg, d = 1.525 Å, intensity 15; 60.9 deg, d = 1.522 Å, intensity 20